Structure and calculated powder diffractogram of Tm2Tl4In (a cell relaxed with GGA-PBE; a wavelength of 1.5418 Å).

Most intense lines, 2θ = 10–90°, sorted by position:
2θ/deg  I (rel.)
21.7  17.7
26.1  25.2
30.8  100.0
35.8  42.3
35.9  42.1
42.2  15.1
44.2  37.8
58.1  21.5
58.2  21.5
72.9  17.3

Atomic structure:
```
data_Tm2Tl4In
_chemical_formula_sum 'Tm2 Tl4 In1'
_symmetry_space_group_name_H-M 'P 1'
_symmetry_Int_Tables_number 1
_cell_length_a 7.530
_cell_length_b 7.530
_cell_length_c 5.800
_cell_angle_alpha 112.41
_cell_angle_beta 112.41
_cell_angle_gamma 45.31
loop_
_symmetry_equiv_pos_as_xyz
'x,y,z'
loop_
_atom_site_label
_atom_site_type_symbol
_atom_site_fract_x
_atom_site_fract_y
_atom_site_fract_z
_atom_site_occupancy
Tm1 Tm 0.141 0.141 0.142 1
Tm2 Tm 0.859 0.859 0.858 1
Tl1 Tl 0.000 0.000 0.500 1
Tl2 Tl 0.250 0.250 0.751 1
Tl3 Tl 0.500 0.500 0.000 1
Tl4 Tl 0.750 0.750 0.249 1
In1 In 0.500 0.500 0.500 1
```